[1]
Starting from DFT lattice parameters and positions (PBE), the X-ray diffraction stick pattern of UTl4S4 was calculated for Cu Kα X-rays.
Intensities are scaled so that the largest is 100.

Cell lengths 14.4184, 4.1060, 10.6308 Å; angles 90.00, 121.48, 90.00 degrees
Space group C2/m (No. 12)
Symmetry-distinct sites (fractional):
U 0.0000 0.0000 0.0000 [2 per cell]
Tl 0.0849 0.5000 0.3914 [4 per cell]
Tl 0.1997 0.0000 0.7779 [4 per cell]
S 0.0947 0.5000 0.9371 [4 per cell]
S 0.1673 0.0000 0.2795 [4 per cell]

Principal peaks in the range 2θ from 10° to 90°, sorted by position:
| 2θ (°) | d [Å] | I (rel.) | (hkl) |
| --- | --- | --- | --- |
| 25.1 | 3.541 | 47 | 2 0 -3 |
| 25.3 | 3.524 | 46 | 4 0 -1 |
| 26.4 | 3.381 | 83 | 1 1 1 |
| 29.8 | 2.998 | 100 | 3 1 -2 |
| 30.0 | 2.980 | 48 | 2 0 2 |
| 41.2 | 2.193 | 17 | 6 0 -4 |
| 42.7 | 2.117 | 35 | 1 1 -4 |
| 42.9 | 2.110 | 35 | 5 1 0 |
| 44.1 | 2.053 | 18 | 0 2 0 |
| 49.6 | 1.838 | 16 | 7 1 -3 |
| 51.5 | 1.775 | 28 | 4 2 -1 |
| 54.3 | 1.691 | 18 | 2 2 2 |

---

[2]
Starting from DFT lattice parameters and positions (PBE), the X-ray diffraction stick pattern of Tl2CdInBi was calculated for Cu Kα X-rays.
Intensities are scaled so that the largest is 100.

Cell lengths 7.3324, 5.0783, 8.9589 Å; angles 90.00, 113.96, 90.00 degrees
Space group P2_1/m (No. 11)
Symmetry-distinct sites (fractional):
Tl 0.1678 0.2500 0.2008 [2 per cell]
Tl 0.1908 0.7500 0.5814 [2 per cell]
Cd 0.4802 0.2500 0.5863 [2 per cell]
In 0.1392 0.2500 0.8104 [2 per cell]
Bi 0.3596 0.7500 0.0385 [2 per cell]

Principal peaks in the range 2θ from 10° to 90°, sorted by position:
| 2θ (°) | d [Å] | I (rel.) | (hkl) |
| --- | --- | --- | --- |
| 26.9 | 3.315 | 53 | 1 1 -2 |
| 29.9 | 2.991 | 57 | 1 0 2 |
| 30.1 | 2.973 | 94 | 2 1 -1 |
| 32.0 | 2.794 | 43 | 2 1 0 |
| 34.8 | 2.576 | 100 | 1 1 -3 |
| 35.3 | 2.539 | 54 | 0 2 0 |
| 40.5 | 2.228 | 18 | 3 0 -3 |
| 46.9 | 1.936 | 34 | 1 2 2 |
| 54.8 | 1.675 | 22 | 3 2 -3 |
| 63.1 | 1.473 | 18 | 1 3 -3 |
| 63.6 | 1.462 | 14 | 4 2 -3 |
| 66.6 | 1.404 | 16 | 5 1 -2 |

---

[3]
Starting from DFT lattice parameters and positions (PBE), the X-ray diffraction stick pattern of HoZr2Ga was calculated for Cu Kα X-rays.
Intensities are scaled so that the largest is 100.

Cell lengths 4.3321, 4.2205, 10.5252 Å; angles 90.00, 101.86, 90.00 degrees
Space group P2_1/m (No. 11)
Symmetry-distinct sites (fractional):
Ho 0.1938 0.2500 0.3886 [2 per cell]
Zr 0.0593 0.7500 0.1187 [2 per cell]
Zr 0.4434 0.7500 0.8868 [2 per cell]
Ga 0.3408 0.2500 0.6810 [2 per cell]

Principal peaks in the range 2θ from 10° to 90°, sorted by position:
| 2θ (°) | d [Å] | I (rel.) | (hkl) |
| --- | --- | --- | --- |
| 29.9 | 2.989 | 58 | 1 1 -1 |
| 32.4 | 2.767 | 87 | 1 1 -2 |
| 33.6 | 2.663 | 19 | 0 1 3 |
| 34.8 | 2.575 | 38 | 0 0 4 |
| 36.9 | 2.437 | 100 | 1 1 2 |
| 41.7 | 2.166 | 34 | 2 0 -1 |
| 42.9 | 2.110 | 35 | 0 2 0 |
| 55.4 | 1.658 | 20 | 2 0 3 |
| 56.4 | 1.632 | 19 | 0 2 4 |
| 57.9 | 1.594 | 13 | 1 1 5 |
| 61.3 | 1.512 | 22 | 2 2 -1 |
| 72.5 | 1.304 | 18 | 2 2 3 |